Starting from DFT lattice parameters and positions (GGA-PBE), the PXRD pattern of InAg3I6 was calculated for Cu Kα (weighted mean of Kα1 and Kα2).
Intensities are scaled so that the largest is 100.

The 8 most intense peaks (2θ = 10–90°), low angle first:
two_theta, Rel. int., index
13.83, 43, 0 0 2
15.66, 41, 1 1 -1
23.79, 100, 0 1 3
24.40, 48, 2 1 -2
24.56, 57, 2 0 1
25.34, 56, 1 2 0
40.40, 66, 1 3 -3
42.51, 49, 3 2 1

Structure:
```
data_InAg3I6
_symmetry_space_group_name_H-M 'P 1 21 1'
_symmetry_Int_Tables_number 4
_cell_length_a 8.7463
_cell_length_b 7.7639
_cell_length_c 13.5002
_cell_angle_alpha 90.00
_cell_angle_beta 108.46
_cell_angle_gamma 90.00
loop_
_symmetry_equiv_pos_as_xyz
'x,y,z'
'-x,y+1/2,-z'
loop_
_atom_site_label
_atom_site_type_symbol
_atom_site_fract_x
_atom_site_fract_y
_atom_site_fract_z
In1 In 0.2098 0.0000 0.2904
Ag1 Ag 0.2438 0.7399 0.7866
Ag2 Ag 0.2875 0.3402 0.7136
Ag3 Ag 0.4480 0.7054 0.1030
I1 I 0.0457 0.8196 0.4045
I2 I 0.0881 0.3324 0.2723
I3 I 0.1491 0.8650 0.0922
I4 I 0.3313 0.4666 0.9266
I5 I 0.4166 0.9898 0.7230
I6 I 0.4663 0.5016 0.5921
```